# 1
The following is a theoretical XRD peak list of Ho2Tm5Sc. It was derived from the PBE geometry in Alexandria, using Cu Kα (weighted mean of Kα1 and Kα2).

Principal peaks in the range 2θ = 10–90°, by intensity:
d_spacing	I (rel.)
2.690	100
2.701	49
3.019	47
2.599	34
3.099	20
1.557	19
2.876	17
2.735	16

Cell and atoms:
Lattice parameters (Å, degrees): 6.4484 6.4484 15.3255 90.00 90.00 130.48
Element x y z (fractional)
Ho (0.2205, 0.7795, 0.6320)
Ho (0.2205, 0.7795, 0.8680)
Ho (0.7795, 0.2205, 0.1320)
Ho (0.7795, 0.2205, 0.3680)
Tm (0.0811, 0.9189, 0.0940)
Tm (0.0811, 0.9189, 0.4060)
Tm (0.3829, 0.6171, 0.0502)
Tm (0.3829, 0.6171, 0.4498)
Tm (0.4611, 0.5389, 0.7500)
Tm (0.5389, 0.4611, 0.2500)
Tm (0.6171, 0.3829, 0.5502)
Tm (0.6171, 0.3829, 0.9498)
Tm (0.9189, 0.0811, 0.5940)
Tm (0.9189, 0.0811, 0.9060)
Sc (0.2682, 0.7318, 0.2500)
Sc (0.7318, 0.2682, 0.7500)


# 2
The following is a theoretical XRD peak list of DyTmAlAu. It was derived from the PBE geometry in Alexandria, using Cu Kα (weighted mean of Kα1 and Kα2).

Principal peaks in the range 2θ = 10–90°, by intensity:
d_spacing	I (rel.)
2.555	100
2.500	48
1.454	35
7.393	34
1.486	18
1.768	17
3.190	14
1.278	11

Cell and atoms:
Lattice parameters (Å, degrees): 3.5358 3.5358 7.3929 90.00 90.00 90.00
Element x y z (fractional)
Dy (0.0000, 0.0000, 0.0000)
Tm (0.0000, 0.0000, 0.4861)
Al (0.5000, 0.5000, 0.7395)
Au (0.5000, 0.5000, 0.2574)


# 3
The following is a theoretical XRD peak list of LaMg2In2. It was derived from the PBE geometry in Alexandria, using Cu Kα (weighted mean of Kα1 and Kα2).

Principal peaks in the range 2θ = 10–90°, by intensity:
d_spacing	I (rel.)
2.792	100
2.510	87
2.618	85
3.948	60
3.121	42
1.753	40
2.884	39
1.405	28

Cell and atoms:
Lattice parameters (Å, degrees): 8.8275 8.8275 3.2525 90.00 90.00 90.00
Element x y z (fractional)
La (0.0000, 0.0000, 0.0000)
La (0.5000, 0.5000, 0.0000)
Mg (0.1227, 0.3773, 0.0000)
Mg (0.3773, 0.8773, 0.0000)
Mg (0.6227, 0.1227, 0.0000)
Mg (0.8773, 0.6227, 0.0000)
In (0.1732, 0.6732, 0.5000)
In (0.3268, 0.1732, 0.5000)
In (0.6732, 0.8268, 0.5000)
In (0.8268, 0.3268, 0.5000)


# 4
The following is a theoretical XRD peak list of Pm3PaSe4. It was derived from the PBE geometry in Alexandria, using Cu Kα (weighted mean of Kα1 and Kα2).

Principal peaks in the range 2θ = 10–90°, by intensity:
d_spacing	I (rel.)
2.944	100
2.103	38
2.060	36
1.688	19
3.376	17
1.327	17
1.306	17
1.198	13

Cell and atoms:
Lattice parameters (Å, degrees): 14.0879 14.0879 14.0879 16.82 16.82 16.82
Element x y z (fractional)
Pm (0.0000, 0.0000, 0.0000)
Pm (0.2484, 0.2484, 0.2484)
Pm (0.7516, 0.7516, 0.7516)
Pa (0.5000, 0.5000, 0.5000)
Se (0.1263, 0.1263, 0.1263)
Se (0.3754, 0.3754, 0.3754)
Se (0.6246, 0.6246, 0.6246)
Se (0.8737, 0.8737, 0.8737)


# 5
The following is a theoretical XRD peak list of Sm3ErTm6Th2. It was derived from the PBE geometry in Alexandria, using Cu Kα (weighted mean of Kα1 and Kα2).

Principal peaks in the range 2θ = 10–90°, by intensity:
d_spacing	I (rel.)
2.892	100
2.500	67
2.871	33
1.508	29
1.773	24
1.763	24
1.511	14
1.502	14

Cell and atoms:
Lattice parameters (Å, degrees): 6.1399 6.1399 11.6644 95.04 95.04 119.98
Element x y z (fractional)
Sm (0.0000, 0.0000, 0.0000)
Sm (0.3338, 0.6662, 0.0000)
Sm (0.6662, 0.3338, 0.0000)
Er (0.5000, 0.5000, 0.5000)
Tm (0.0812, 0.4180, 0.2539)
Tm (0.2451, 0.2451, 0.7465)
Tm (0.4180, 0.0812, 0.2539)
Tm (0.5820, 0.9188, 0.7461)
Tm (0.7549, 0.7549, 0.2535)
Tm (0.9188, 0.5820, 0.7461)
Th (0.1666, 0.8334, 0.5000)
Th (0.8334, 0.1666, 0.5000)


# 6
The following is a theoretical XRD peak list of PuInPtO6. It was derived from the PBE geometry in Alexandria, using Cu Kα (weighted mean of Kα1 and Kα2).

Principal peaks in the range 2θ = 10–90°, by intensity:
d_spacing	I (rel.)
3.324	100
2.668	62
1.781	54
4.784	36
2.330	36
2.080	27
1.641	26
1.540	19

Cell and atoms:
Lattice parameters (Å, degrees): 5.3356 5.3356 9.5675 90.00 90.00 120.00
Element x y z (fractional)
Pu (0.3333, 0.6667, 0.2500)
Pu (0.6667, 0.3333, 0.7500)
In (0.0000, 0.0000, 0.0000)
In (0.0000, 0.0000, 0.5000)
Pt (0.3333, 0.6667, 0.7500)
Pt (0.6667, 0.3333, 0.2500)
O (0.0136, 0.3499, 0.6300)
O (0.0136, 0.6637, 0.8700)
O (0.3363, 0.3499, 0.8700)
O (0.3363, 0.9864, 0.6300)
O (0.3499, 0.0136, 0.1300)
O (0.3499, 0.3363, 0.3700)
O (0.6501, 0.6637, 0.6300)
O (0.6501, 0.9864, 0.8700)
O (0.6637, 0.0136, 0.3700)
O (0.6637, 0.6501, 0.1300)
O (0.9864, 0.3363, 0.1300)
O (0.9864, 0.6501, 0.3700)